This entry pairs a crystal structure of Pm2MgWO6 with its theoretical powder XRD pattern. Radiation: CuKα. Structure: a GGA+U-relaxed structure.
Lines closer than 0.1° are merged.

Top 6 peaks for 2θ = 10–80°, by intensity:
d_spacing, two_theta, I_rel, (hkl)
2.835, 31.6, 100, 1 1 1
2.807, 31.9, 98, 1 1 -3
2.775, 32.3, 47, 2 0 -2
4.681, 19.0, 45, 0 1 1
2.897, 30.9, 41, 0 2 0
2.004, 45.2, 38, 2 2 -2

Cell and atoms:
```
data_Pm2MgWO6
_chemical_formula_sum 'Pm4 Mg2 W2 O12'
_space_group_name_H-M_alt 'P 1 21/c 1'
_space_group_IT_number 14
_cell_length_a 5.5501
_cell_length_b 5.7947
_cell_length_c 9.6248
_cell_angle_alpha 90.00
_cell_angle_beta 124.41
_cell_angle_gamma 90.00
loop_
_space_group_symop_operation_xyz
'x,y,z'
'-x,-y,-z'
'-x,y+1/2,-z+1/2'
'x,-y+1/2,z+1/2'
loop_
_atom_site_label
_atom_site_fract_x
_atom_site_fract_y
_atom_site_fract_z
Pm1 0.2260 0.0614 0.2473
Mg1 0.0000 0.0000 0.5000
W1 0.5000 0.0000 0.0000
O1 0.1334 0.2019 0.9412
O2 0.2479 0.7059 0.9406
O3 0.3654 0.0391 0.7528
```